Structure and calculated powder diffraction line list of Mg6CoBi (DFT lattice parameters and positions (PBE); a wavelength of 1.5418 Å).
Lines closer than 0.1° are merged.

The 8 most intense peaks (2θ from 15° to 90°), sorted by position:
2θ = 16.19°, intensity 98, (0 1 1); 2θ = 24.41°, intensity 54, (1 0 2); 2θ = 24.52°, intensity 68, (1 1 1); 2θ = 32.72°, intensity 28, (0 2 2); 2θ = 33.68°, intensity 42, (1 1 3); 2θ = 37.07°, intensity 33, (2 0 0); 2θ = 37.43°, intensity 43, (1 0 4); 2θ = 37.74°, intensity 100, (1 2 2)

Crystal structure
```
data_Mg6CoBi
_chemical_formula_sum 'Mg12 Co2 Bi2'
_cell_length_a 4.8501
_cell_length_b 6.2996
_cell_length_c 11.0628
_cell_angle_alpha 90.00
_cell_angle_beta 90.00
_cell_angle_gamma 90.00
_symmetry_space_group_name_H-M 'A m m 2'
_symmetry_Int_Tables_number 38
_symmetry_space_group_name_Hall 'A 2 -2'
loop_
_atom_site_label
_atom_site_type_symbol
_atom_site_fract_x
_atom_site_fract_y
_atom_site_fract_z
Mg1 Mg 0.0000 0.0000 0.0000
Mg2 Mg 0.0000 0.2344 0.7392
Mg3 Mg 0.5000 0.0000 0.8373
Mg4 Mg 0.5000 0.2335 0.5770
Co1 Co 0.0000 0.0000 0.5322
Bi1 Bi 0.5000 0.0000 0.3387
```



Structure and calculated powder diffraction line list of Co3Bi2N4 (DFT lattice parameters and positions (PBE); a wavelength of 1.5418 Å).
Lines closer than 0.1° are merged.

The 8 most intense peaks (2θ from 15° to 90°), sorted by position:
2θ = 20.67°, intensity 63, (2 0 0); 2θ = 27.21°, intensity 100, (2 2 0); 2θ = 32.06°, intensity 32, (1 3 -1); 2θ = 32.43°, intensity 82, (1 3 1); 2θ = 32.89°, intensity 72, (1 1 -2); 2θ = 33.57°, intensity 39, (1 1 2); 2θ = 44.15°, intensity 27, (3 1 -2); 2θ = 48.53°, intensity 28, (1 5 -1)

Crystal structure
```
data_Co3Bi2N4
_chemical_formula_sum 'Co12 Bi8 N16'
_cell_length_a 8.5999
_cell_length_b 10.1375
_cell_length_c 5.9188
_cell_angle_alpha 90.00
_cell_angle_beta 92.00
_cell_angle_gamma 90.00
_symmetry_space_group_name_H-M 'C 1 2/c 1'
_symmetry_Int_Tables_number 15
_symmetry_space_group_name_Hall '-C 2yc'
loop_
_atom_site_label
_atom_site_type_symbol
_atom_site_fract_x
_atom_site_fract_y
_atom_site_fract_z
Co1 Co 0.0000 0.2334 0.2500
Co2 Co 0.1207 0.1992 0.8590
Bi1 Bi 0.2173 0.4512 0.5804
N1 N 0.0886 0.1952 0.5468
N2 N 0.1609 0.3087 0.1070
```



Structure and calculated powder diffraction line list of Tb12Co5Bi (DFT lattice parameters and positions (PBE); a wavelength of 1.5418 Å).
Lines closer than 0.1° are merged.

The 8 most intense peaks (2θ from 15° to 90°), sorted by position:
2θ = 28.50°, intensity 27, (1 0 3); 2θ = 29.54°, intensity 32, (0 3 1); 2θ = 29.71°, intensity 38, (3 1 0); 2θ = 32.12°, intensity 100, (2 2 2); 2θ = 34.28°, intensity 55, (2 1 3); 2θ = 34.82°, intensity 54, (1 3 2); 2θ = 35.19°, intensity 45, (3 2 1); 2θ = 59.65°, intensity 29, (5 3 2)

Crystal structure
```
data_Tb12Co5Bi
_chemical_formula_sum 'Tb24 Co10 Bi2'
_cell_length_a 9.5063
_cell_length_b 9.5249
_cell_length_c 9.9520
_cell_angle_alpha 90.00
_cell_angle_beta 90.00
_cell_angle_gamma 90.00
_symmetry_space_group_name_H-M 'I m m m'
_symmetry_Int_Tables_number 71
_symmetry_space_group_name_Hall '-I 2 2'
loop_
_atom_site_label
_atom_site_type_symbol
_atom_site_fract_x
_atom_site_fract_y
_atom_site_fract_z
Tb1 Tb 0.0000 0.1934 0.2058
Tb2 Tb 0.1908 0.5000 0.1871
Tb3 Tb 0.2100 0.3168 0.5000
Co1 Co 0.0000 0.0000 0.0000
Co2 Co 0.0000 0.3756 0.0000
Co3 Co 0.0000 0.5000 0.3881
Bi1 Bi 0.0000 0.0000 0.5000
```



Structure and calculated powder diffraction line list of CoBiTe (DFT lattice parameters and positions (PBE); a wavelength of 1.5418 Å).
Lines closer than 0.1° are merged.

The 8 most intense peaks (2θ from 15° to 90°), sorted by position:
2θ = 27.08°, intensity 38, (0 1 1); 2θ = 31.27°, intensity 100, (1 1 -1); 2θ = 31.52°, intensity 65, (1 0 -2); 2θ = 32.11°, intensity 79, (1 1 1); 2θ = 32.65°, intensity 39, (2 0 0); 2θ = 33.18°, intensity 61, (1 0 2); 2θ = 43.56°, intensity 45, (2 1 1); 2θ = 48.79°, intensity 54, (0 1 3)

Crystal structure
```
data_CoBiTe
_chemical_formula_sum 'Co2 Bi2 Te2'
_cell_length_a 5.4945
_cell_length_b 3.8389
_cell_length_c 6.4192
_cell_angle_alpha 90.00
_cell_angle_beta 93.28
_cell_angle_gamma 90.00
_symmetry_space_group_name_H-M 'P 1 2/m 1'
_symmetry_Int_Tables_number 10
_symmetry_space_group_name_Hall '-P 2y'
loop_
_atom_site_label
_atom_site_type_symbol
_atom_site_fract_x
_atom_site_fract_y
_atom_site_fract_z
Co1 Co 0.0000 0.0000 0.0000
Co2 Co 0.5000 0.5000 0.5000
Bi1 Bi 0.2239 0.0000 0.6461
Te1 Te 0.2710 0.5000 0.1444
```